Record 1
For LiMnTlCl4, a cell relaxed with PBE gives the simulated powder diffractogram in this record (Cu Kα, 1.54184 Å).

Structural model:
Unit cell a=6.311 b=7.720 c=8.527 alpha=90.00 beta=102.70 gamma=90.00
Fractional coordinates of all 14 atoms:
Li (0.204, 0.250, 0.323)
Li (0.796, 0.750, 0.677)
Mn (0.292, 0.750, 0.677)
Mn (0.708, 0.250, 0.323)
Tl (0.290, 0.250, 0.899)
Tl (0.710, 0.750, 0.101)
Cl (0.014, 0.250, 0.536)
Cl (0.112, 0.750, 0.895)
Cl (0.450, 0.024, 0.273)
Cl (0.450, 0.476, 0.273)
Cl (0.550, 0.524, 0.727)
Cl (0.550, 0.976, 0.727)
Cl (0.888, 0.250, 0.105)
Cl (0.986, 0.750, 0.464)

Main lines, by angle (2θ = 10–90°):
10.6 deg, I = 806; 15.9 deg, I = 1000; 19.7 deg, I = 864; 22.9 deg, I = 689; 23.0 deg, I = 880; 24.3 deg, I = 744; 28.1 deg, I = 932; 34.2 deg, I = 635

Record 2
For LiMoCl6, a cell relaxed with PBE gives the simulated powder diffractogram in this record (Cu Kα, 1.54184 Å).

Structural model:
Unit cell a=6.721 b=6.721 c=6.721 alpha=56.10 beta=56.10 gamma=56.10
Fractional coordinates of all 8 atoms:
Li (0.000, 0.000, 0.000)
Mo (0.500, 0.500, 0.500)
Cl (0.121, 0.410, 0.730)
Cl (0.270, 0.879, 0.590)
Cl (0.410, 0.730, 0.121)
Cl (0.590, 0.270, 0.879)
Cl (0.730, 0.121, 0.410)
Cl (0.879, 0.590, 0.270)

Main lines, by angle (2θ = 10–90°):
15.7 deg, I = 297; 17.0 deg, I = 781; 19.3 deg, I = 704; 26.6 deg, I = 162; 32.5 deg, I = 1000; 43.0 deg, I = 465; 50.0 deg, I = 286; 57.0 deg, I = 216

Record 3
For LiMoCl, a cell relaxed with PBE gives the simulated powder diffractogram in this record (Cu Kα, 1.54184 Å).

Structural model:
Unit cell a=2.985 b=2.985 c=6.178 alpha=90.00 beta=90.00 gamma=120.00
Fractional coordinates of all 3 atoms:
Li (0.000, 0.000, 0.000)
Mo (0.667, 0.333, 0.378)
Cl (0.333, 0.667, 0.686)

Main lines, by angle (2θ = 10–90°):
14.3 deg, I = 1000; 34.7 deg, I = 307; 37.7 deg, I = 904; 44.0 deg, I = 137; 45.8 deg, I = 545; 57.2 deg, I = 151; 62.2 deg, I = 147; 79.3 deg, I = 138

Record 4
For LiMoCl, a cell relaxed with PBE gives the simulated powder diffractogram in this record (Cu Kα, 1.54184 Å).

Structural model:
Unit cell a=3.077 b=4.986 c=12.651 alpha=90.00 beta=90.00 gamma=90.00
Fractional coordinates of all 12 atoms:
Li (0.000, 0.000, 0.000)
Li (0.000, 0.500, 0.500)
Li (0.500, 0.000, 0.500)
Li (0.500, 0.500, 0.000)
Mo (0.000, 0.000, 0.313)
Mo (0.000, 0.500, 0.813)
Mo (0.500, 0.000, 0.813)
Mo (0.500, 0.500, 0.313)
Cl (0.000, 0.000, 0.651)
Cl (0.000, 0.500, 0.151)
Cl (0.500, 0.000, 0.151)
Cl (0.500, 0.500, 0.651)

Main lines, by angle (2θ = 10–90°):
14.0 deg, I = 1000; 28.2 deg, I = 172; 35.0 deg, I = 406; 36.0 deg, I = 271; 38.8 deg, I = 160; 40.6 deg, I = 759; 42.9 deg, I = 157; 50.1 deg, I = 159

Record 5
For Li5NCl, a cell relaxed with PBE gives the simulated powder diffractogram in this record (Cu Kα, 1.54184 Å).

Structural model:
Unit cell a=7.036 b=7.036 c=7.036 alpha=122.09 beta=116.70 gamma=91.12
Fractional coordinates of all 14 atoms:
Li (0.000, 0.285, 0.285)
Li (0.000, 0.715, 0.715)
Li (0.216, 0.966, 0.250)
Li (0.240, 0.192, 0.048)
Li (0.356, 0.808, 0.548)
Li (0.500, 0.285, 0.785)
Li (0.500, 0.715, 0.215)
Li (0.644, 0.192, 0.452)
Li (0.760, 0.808, 0.952)
Li (0.784, 0.034, 0.750)
N (0.000, 0.000, 0.000)
N (0.500, 0.000, 0.500)
Cl (0.134, 0.384, 0.750)
Cl (0.866, 0.616, 0.250)

Main lines, by angle (2θ = 10–90°):
15.0 deg, I = 730; 18.0 deg, I = 331; 25.4 deg, I = 1000; 26.2 deg, I = 571; 29.0 deg, I = 732; 29.8 deg, I = 285; 30.3 deg, I = 433; 40.0 deg, I = 229

Record 6
For Li6NCl3, a cell relaxed with PBE gives the simulated powder diffractogram in this record (Cu Kα, 1.54184 Å).

Structural model:
Unit cell a=3.652 b=3.652 c=12.598 alpha=90.02 beta=90.02 gamma=60.00
Fractional coordinates of all 10 atoms:
Li (0.000, 0.001, 0.154)
Li (0.331, 0.334, 0.618)
Li (0.333, 0.333, 0.018)
Li (0.666, 0.669, 0.382)
Li (0.667, 0.667, 0.982)
Li (0.999, 0.000, 0.846)
N (0.000, 0.000, 0.000)
Cl (0.333, 0.335, 0.264)
Cl (0.665, 0.667, 0.736)
Cl (0.999, 0.001, 0.500)

Main lines, by angle (2θ = 10–90°):
28.3 deg, I = 475; 29.1 deg, I = 764; 31.7 deg, I = 1000; 35.5 deg, I = 796; 46.1 deg, I = 240; 49.9 deg, I = 467; 52.3 deg, I = 293; 58.4 deg, I = 261

Record 7
For Li5NCl2, a cell relaxed with PBE gives the simulated powder diffractogram in this record (Cu Kα, 1.54184 Å).

Structural model:
Unit cell a=6.467 b=6.467 c=11.619 alpha=90.00 beta=90.00 gamma=144.78
Fractional coordinates of all 16 atoms:
Li (0.050, 0.950, 0.628)
Li (0.050, 0.950, 0.872)
Li (0.262, 0.738, 0.625)
Li (0.262, 0.738, 0.875)
Li (0.335, 0.665, 0.250)
Li (0.665, 0.335, 0.750)
Li (0.738, 0.262, 0.125)
Li (0.738, 0.262, 0.375)
Li (0.950, 0.050, 0.128)
Li (0.950, 0.050, 0.372)
N (0.155, 0.845, 0.750)
N (0.845, 0.155, 0.250)
Cl (0.134, 0.866, 0.066)
Cl (0.134, 0.866, 0.434)
Cl (0.866, 0.134, 0.566)
Cl (0.866, 0.134, 0.934)

Main lines, by angle (2θ = 10–90°):
15.3 deg, I = 264; 23.9 deg, I = 826; 27.2 deg, I = 1000; 29.0 deg, I = 303; 31.6 deg, I = 328; 33.4 deg, I = 375; 49.6 deg, I = 293; 54.6 deg, I = 207

Record 8
For Li6NCl3, a cell relaxed with PBE gives the simulated powder diffractogram in this record (Cu Kα, 1.54184 Å).

Structural model:
Unit cell a=3.738 b=3.738 c=13.516 alpha=97.98 beta=97.98 gamma=60.03
Fractional coordinates of all 10 atoms:
Li (0.000, 0.000, 0.000)
Li (0.097, 0.097, 0.290)
Li (0.254, 0.254, 0.748)
Li (0.376, 0.376, 0.128)
Li (0.505, 0.505, 0.499)
Li (0.720, 0.720, 0.160)
N (0.050, 0.050, 0.149)
Cl (0.306, 0.306, 0.919)
Cl (0.562, 0.562, 0.670)
Cl (0.811, 0.811, 0.416)

Main lines, by angle (2θ = 10–90°):
26.7 deg, I = 374; 29.0 deg, I = 1000; 33.0 deg, I = 423; 45.8 deg, I = 254; 48.7 deg, I = 297; 53.9 deg, I = 141; 56.4 deg, I = 198; 57.7 deg, I = 105

Record 9
For Li6NCl3, a cell relaxed with PBE gives the simulated powder diffractogram in this record (Cu Kα, 1.54184 Å).

Structural model:
Unit cell a=6.127 b=6.127 c=5.957 alpha=118.57 beta=118.57 gamma=58.83
Fractional coordinates of all 10 atoms:
Li (0.149, 0.704, 0.635)
Li (0.196, 0.196, 0.834)
Li (0.296, 0.851, 0.365)
Li (0.704, 0.149, 0.635)
Li (0.804, 0.804, 0.166)
Li (0.851, 0.296, 0.365)
N (0.000, 0.000, 0.500)
Cl (0.251, 0.251, 0.282)
Cl (0.500, 0.500, 0.000)
Cl (0.749, 0.749, 0.718)

Main lines, by angle (2θ = 10–90°):
29.0 deg, I = 945; 29.2 deg, I = 1000; 29.7 deg, I = 434; 30.0 deg, I = 312; 40.4 deg, I = 179; 42.7 deg, I = 376; 50.9 deg, I = 319; 52.4 deg, I = 173

Record 10
For Li5NCl2, a cell relaxed with PBE gives the simulated powder diffractogram in this record (Cu Kα, 1.54184 Å).

Structural model:
Unit cell a=6.759 b=3.658 c=9.257 alpha=90.00 beta=94.90 gamma=90.00
Fractional coordinates of all 16 atoms:
Li (0.024, 0.000, 0.232)
Li (0.129, 0.500, 0.937)
Li (0.175, 0.500, 0.392)
Li (0.280, 0.000, 0.101)
Li (0.458, 0.500, 0.246)
Li (0.542, 0.500, 0.754)
Li (0.720, 0.000, 0.899)
Li (0.825, 0.500, 0.608)
Li (0.871, 0.500, 0.063)
Li (0.976, 0.000, 0.768)
N (0.161, 0.500, 0.167)
N (0.839, 0.500, 0.833)
Cl (0.000, 0.000, 0.500)
Cl (0.337, 0.000, 0.841)
Cl (0.500, 0.500, 0.500)
Cl (0.663, 0.000, 0.159)

Main lines, by angle (2θ = 10–90°):
29.0 deg, I = 1000; 31.5 deg, I = 112; 34.7 deg, I = 143; 47.6 deg, I = 319; 49.8 deg, I = 149; 54.6 deg, I = 91; 58.7 deg, I = 191; 77.1 deg, I = 63

Record 11
For Li6NCl3, a cell relaxed with PBE gives the simulated powder diffractogram in this record (Cu Kα, 1.54184 Å).

Structural model:
Unit cell a=6.791 b=6.638 c=5.627 alpha=66.65 beta=63.82 gamma=49.54
Fractional coordinates of all 10 atoms:
Li (0.059, 0.692, 0.941)
Li (0.228, 0.772, 0.228)
Li (0.308, 0.941, 0.692)
Li (0.692, 0.059, 0.308)
Li (0.772, 0.228, 0.772)
Li (0.941, 0.308, 0.059)
N (0.000, 0.000, 0.000)
Cl (0.250, 0.250, 0.250)
Cl (0.500, 0.500, 0.500)
Cl (0.750, 0.750, 0.750)

Main lines, by angle (2θ = 10–90°):
27.3 deg, I = 822; 28.5 deg, I = 1000; 31.9 deg, I = 396; 33.1 deg, I = 226; 44.1 deg, I = 168; 46.6 deg, I = 376; 53.3 deg, I = 258; 55.4 deg, I = 177

Record 12
For Li6NCl4, a cell relaxed with PBE gives the simulated powder diffractogram in this record (Cu Kα, 1.54184 Å).

Structural model:
Unit cell a=6.845 b=6.845 c=12.168 alpha=103.41 beta=103.41 gamma=62.56
Fractional coordinates of all 22 atoms:
Li (0.005, 0.520, 0.194)
Li (0.061, 0.939, 0.500)
Li (0.071, 0.803, 0.797)
Li (0.340, 0.943, 0.325)
Li (0.354, 0.975, 0.056)
Li (0.375, 0.511, 0.955)
Li (0.511, 0.375, 0.455)
Li (0.520, 0.005, 0.694)
Li (0.803, 0.071, 0.297)
Li (0.939, 0.061, 0.000)
Li (0.943, 0.340, 0.825)
Li (0.975, 0.354, 0.556)
N (0.204, 0.817, 0.951)
N (0.817, 0.204, 0.451)
Cl (0.004, 0.172, 0.203)
Cl (0.163, 0.366, 0.014)
Cl (0.172, 0.004, 0.703)
Cl (0.235, 0.658, 0.349)
Cl (0.366, 0.163, 0.514)
Cl (0.637, 0.830, 0.208)
Cl (0.658, 0.235, 0.849)
Cl (0.830, 0.637, 0.708)

Main lines, by angle (2θ = 10–90°):
14.7 deg, I = 563; 22.7 deg, I = 707; 24.7 deg, I = 752; 26.1 deg, I = 528; 26.2 deg, I = 1000; 27.5 deg, I = 772; 29.0 deg, I = 424; 31.8 deg, I = 495

Record 13
For LiTiNCl, a cell relaxed with PBE gives the simulated powder diffractogram in this record (Cu Kα, 1.54184 Å).

Structural model:
Unit cell a=3.380 b=4.102 c=8.133 alpha=90.00 beta=90.00 gamma=90.00
Fractional coordinates of all 8 atoms:
Li (0.250, 0.250, 0.165)
Li (0.750, 0.750, 0.835)
Ti (0.250, 0.750, 0.447)
Ti (0.750, 0.250, 0.553)
N (0.250, 0.250, 0.419)
N (0.750, 0.750, 0.581)
Cl (0.250, 0.250, 0.847)
Cl (0.750, 0.750, 0.153)

Main lines, by angle (2θ = 10–90°):
10.9 deg, I = 1000; 24.3 deg, I = 294; 33.0 deg, I = 240; 34.5 deg, I = 472; 36.2 deg, I = 529; 41.1 deg, I = 235; 44.2 deg, I = 229; 57.2 deg, I = 173